No. 1
# Lu2Se3
Theoretical X-ray powder pattern, Cu Kα X-rays. Input: a DFT-relaxed cell (GGA-PBE, the Materials Project).
Peak positions follow from Bragg's law for the DFT cell and can differ from measured ones.

Most intense lines, 2θ from 10° to 80°, in order of rising 2θ:
| Position (°2θ) | I (rel.) |
| --- | --- |
| 25.45 | 33 |
| 33.04 | 100 |
| 39.32 | 60 |
| 47.42 | 24 |
| 49.89 | 16 |
| 52.27 | 10 |
| 54.58 | 21 |
| 67.33 | 29 |
| 69.32 | 9 |
| 71.29 | 12 |

Structural model:
Lattice parameters (Å, degrees): 14.2088 14.2088 14.2088 144.87 144.87 50.53
Fractional positions:
Lu (0.0497, 0.4230, 0.8928)
Lu (0.1685, 0.1685, 0.0000)
Lu (0.1730, 0.2997, 0.3928)
Lu (0.2198, 0.8270, 0.1267)
Lu (0.2588, 0.1250, 0.6338)
Lu (0.3750, 0.7412, 0.8662)
Lu (0.4912, 0.6250, 0.3662)
Lu (0.5302, 0.1569, 0.1072)
Lu (0.5770, 0.4698, 0.6267)
Lu (0.5815, 0.0815, 0.5000)
Lu (0.7003, 0.0931, 0.8733)
Lu (0.8315, 0.8315, 0.0000)
Lu (0.8431, 0.9503, 0.3733)
Lu (0.8750, 0.5088, 0.1338)
Lu (0.9069, 0.7802, 0.6072)
Lu (0.9185, 0.4185, 0.5000)
Se (0.0777, 0.8295, 0.6167)
Se (0.1705, 0.7872, 0.2482)
Se (0.1889, 0.0914, 0.7438)
Se (0.1951, 0.5976, 0.7562)
Se (0.2110, 0.4628, 0.8833)
Se (0.2128, 0.4610, 0.3833)
Se (0.2459, 0.0006, 0.1170)
Se (0.3476, 0.4451, 0.2562)
Se (0.4024, 0.1586, 0.5975)
Se (0.5041, 0.1212, 0.2547)
Se (0.5372, 0.4205, 0.7482)
Se (0.5390, 0.9223, 0.7518)
Se (0.5549, 0.8111, 0.9025)
Se (0.5611, 0.8049, 0.4025)
Se (0.5795, 0.3277, 0.1167)
Se (0.6723, 0.7890, 0.2518)
Se (0.7506, 0.4959, 0.6170)
Se (0.8414, 0.4389, 0.2438)
Se (0.8665, 0.2494, 0.7453)
Se (0.8712, 0.7541, 0.7547)
Se (0.8788, 0.1335, 0.3830)
Se (0.8835, 0.1288, 0.8830)
Se (0.9086, 0.6524, 0.0975)
Se (0.9994, 0.1165, 0.2453)

---

No. 2
# LuSe2
Theoretical X-ray powder pattern, Cu Kα X-rays. Input: a DFT-relaxed cell (GGA-PBE, the Materials Project).
Peak positions follow from Bragg's law for the DFT cell and can differ from measured ones.

Most intense lines, 2θ from 10° to 80°, in order of rising 2θ:
| Position (°2θ) | I (rel.) |
| --- | --- |
| 24.64 | 66 |
| 31.42 | 42 |
| 32.80 | 29 |
| 33.32 | 63 |
| 38.51 | 100 |
| 39.90 | 64 |
| 45.03 | 57 |
| 56.82 | 24 |
| 61.71 | 36 |
| 78.70 | 25 |

Structural model:
Lattice parameters (Å, degrees): 4.0265 4.0265 8.1903 90.00 90.00 90.00
Fractional positions:
Lu (0.2500, 0.2500, 0.2259)
Lu (0.7500, 0.7500, 0.7741)
Se (0.2500, 0.2500, 0.8717)
Se (0.2500, 0.7500, 0.5000)
Se (0.7500, 0.2500, 0.5000)
Se (0.7500, 0.7500, 0.1283)

---

No. 3
# Lu2Se3
Theoretical X-ray powder pattern, Cu Kα X-rays. Input: a DFT-relaxed cell (GGA-PBE, the Materials Project).
Peak positions follow from Bragg's law for the DFT cell and can differ from measured ones.

Most intense lines, 2θ from 10° to 80°, in order of rising 2θ:
| Position (°2θ) | I (rel.) |
| --- | --- |
| 13.96 | 48 |
| 22.87 | 17 |
| 31.40 | 100 |
| 31.62 | 49 |
| 44.88 | 19 |
| 45.16 | 91 |
| 55.93 | 20 |
| 56.14 | 19 |
| 74.61 | 24 |
| 74.94 | 17 |

Structural model:
Lattice parameters (Å, degrees): 13.3173 12.7135 6.9533 79.36 69.76 30.87
Fractional positions:
Lu (0.0411, 0.0411, 0.2089)
Lu (0.1278, 0.1278, 0.6222)
Lu (0.2089, 0.2089, 0.0411)
Lu (0.3778, 0.3778, 0.8722)
Lu (0.6222, 0.6222, 0.1278)
Lu (0.7911, 0.7911, 0.9589)
Lu (0.8722, 0.8722, 0.3778)
Lu (0.9589, 0.9589, 0.7911)
Se (0.0488, 0.5386, 0.1980)
Se (0.1199, 0.6301, 0.6301)
Se (0.1980, 0.7147, 0.0488)
Se (0.2853, 0.8020, 0.4614)
Se (0.3699, 0.8801, 0.8801)
Se (0.4614, 0.9512, 0.2853)
Se (0.5386, 0.0488, 0.7147)
Se (0.6301, 0.1199, 0.1199)
Se (0.7147, 0.1980, 0.5386)
Se (0.8020, 0.2853, 0.9512)
Se (0.8801, 0.3699, 0.3699)
Se (0.9512, 0.4614, 0.8020)

---

No. 4
# SmLuSe3
Theoretical X-ray powder pattern, Cu Kα X-rays. Input: a DFT-relaxed cell (GGA-PBE, the Materials Project).
Peak positions follow from Bragg's law for the DFT cell and can differ from measured ones.

Most intense lines, 2θ from 10° to 80°, in order of rising 2θ:
| Position (°2θ) | I (rel.) |
| --- | --- |
| 22.54 | 51 |
| 23.11 | 77 |
| 25.37 | 56 |
| 29.85 | 100 |
| 30.81 | 46 |
| 32.90 | 74 |
| 40.24 | 41 |
| 40.53 | 74 |
| 42.05 | 41 |
| 44.19 | 68 |

Structural model:
Lattice parameters (Å, degrees): 11.5451 4.0988 11.8375 90.00 108.88 90.00
Fractional positions:
Sm (0.0489, 0.2500, 0.1971)
Sm (0.3189, 0.7500, 0.9972)
Sm (0.6811, 0.2500, 0.0028)
Sm (0.9511, 0.7500, 0.8029)
Lu (0.1579, 0.2500, 0.5822)
Lu (0.4378, 0.2500, 0.3368)
Lu (0.5622, 0.7500, 0.6632)
Lu (0.8421, 0.7500, 0.4178)
Se (0.0821, 0.7500, 0.4059)
Se (0.1116, 0.2500, 0.9639)
Se (0.1906, 0.7500, 0.7432)
Se (0.2626, 0.7500, 0.2314)
Se (0.3942, 0.2500, 0.5605)
Se (0.4855, 0.2500, 0.1233)
Se (0.5145, 0.7500, 0.8767)
Se (0.6058, 0.7500, 0.4395)
Se (0.7374, 0.2500, 0.7686)
Se (0.8094, 0.2500, 0.2568)
Se (0.8884, 0.7500, 0.0361)
Se (0.9179, 0.2500, 0.5941)

---

No. 5
# LuSi3
Theoretical X-ray powder pattern, Cu Kα X-rays. Input: a DFT-relaxed cell (GGA-PBE, the Materials Project).
Peak positions follow from Bragg's law for the DFT cell and can differ from measured ones.

Most intense lines, 2θ from 10° to 80°, in order of rising 2θ:
| Position (°2θ) | I (rel.) |
| --- | --- |
| 21.80 | 96 |
| 31.02 | 81 |
| 38.23 | 100 |
| 44.44 | 49 |
| 50.02 | 44 |
| 55.18 | 33 |
| 64.66 | 32 |
| 69.11 | 21 |
| 73.44 | 14 |
| 77.67 | 38 |

Structural model:
Lattice parameters (Å, degrees): 4.0773 4.0773 4.0773 90.00 90.00 90.00
Fractional positions:
Lu (0.0000, 0.0000, 0.0000)
Si (0.0000, 0.5000, 0.5000)
Si (0.5000, 0.0000, 0.5000)
Si (0.5000, 0.5000, 0.0000)

---

No. 6
# LuSi2
Theoretical X-ray powder pattern, Cu Kα X-rays. Input: a DFT-relaxed cell (GGA-PBE, the Materials Project).
Peak positions follow from Bragg's law for the DFT cell and can differ from measured ones.

Most intense lines, 2θ from 10° to 80°, in order of rising 2θ:
| Position (°2θ) | I (rel.) |
| --- | --- |
| 23.43 | 14 |
| 25.15 | 57 |
| 34.64 | 100 |
| 44.30 | 33 |
| 47.93 | 9 |
| 50.71 | 12 |
| 54.88 | 14 |
| 57.42 | 23 |
| 67.31 | 19 |
| 75.28 | 21 |

Structural model:
Lattice parameters (Å, degrees): 4.0893 4.0893 3.7962 90.00 90.00 120.00
Fractional positions:
Lu (0.0000, 0.0000, 0.0000)
Si (0.3333, 0.6667, 0.5000)
Si (0.6667, 0.3333, 0.5000)

---

No. 7
# SmLu3
Theoretical X-ray powder pattern, Cu Kα X-rays. Input: a DFT-relaxed cell (GGA-PBE, the Materials Project).
Peak positions follow from Bragg's law for the DFT cell and can differ from measured ones.

Most intense lines, 2θ from 10° to 80°, in order of rising 2θ:
| Position (°2θ) | I (rel.) |
| --- | --- |
| 28.92 | 24 |
| 32.12 | 24 |
| 33.18 | 100 |
| 43.76 | 16 |
| 51.26 | 20 |
| 57.94 | 21 |
| 61.79 | 23 |
| 62.44 | 16 |
| 69.64 | 4 |
| 74.75 | 3 |

Structural model:
Lattice parameters (Å, degrees): 7.1287 7.1287 5.5733 90.00 90.00 120.00
Fractional positions:
Sm (0.3333, 0.6667, 0.2500)
Sm (0.6667, 0.3333, 0.7500)
Lu (0.1649, 0.3297, 0.7500)
Lu (0.1649, 0.8351, 0.7500)
Lu (0.3297, 0.1649, 0.2500)
Lu (0.6703, 0.8351, 0.7500)
Lu (0.8351, 0.1649, 0.2500)
Lu (0.8351, 0.6703, 0.2500)

---

No. 8
# SmLuTl2
Theoretical X-ray powder pattern, Cu Kα X-rays. Input: a DFT-relaxed cell (GGA-PBE, the Materials Project).
Peak positions follow from Bragg's law for the DFT cell and can differ from measured ones.

Most intense lines, 2θ from 10° to 80°, in order of rising 2θ:
| Position (°2θ) | I (rel.) |
| --- | --- |
| 23.41 | 1 |
| 33.34 | 100 |
| 47.87 | 18 |
| 53.95 | 1 |
| 59.59 | 39 |
| 70.02 | 12 |
| 79.80 | 17 |

Structural model:
Lattice parameters (Å, degrees): 5.3746 5.3746 5.3746 60.00 60.00 60.00
Fractional positions:
Sm (0.0000, 0.0000, 0.0000)
Lu (0.5000, 0.5000, 0.5000)
Tl (0.2500, 0.2500, 0.2500)
Tl (0.7500, 0.7500, 0.7500)